This entry pairs a crystal structure of LaSm10Ho6 with its simulated powder X-ray diffraction pattern. Radiation: λ = 1.5418 Å (Cu Kα). Structure: the GGA-PBE geometry in Alexandria.

Peak list (10 most intense, 5° ≤ 2θ ≤ 70°, sorted by position)
2theta, d/Å, I (rel.)
30.8, 2.907, 41
31.6, 2.829, 80
31.8, 2.815, 100
40.5, 2.227, 12
45.5, 1.995, 26
48.6, 1.873, 13
56.4, 1.631, 18
56.7, 1.623, 18
59.1, 1.562, 10
62.4, 1.488, 11

Cell and atoms:
```
LaSm10Ho6
1.0
9.7997 0.0000 0.0000
-4.8998 8.4868 0.0000
0.0000 0.0000 6.8784
La Sm Ho
1 10 6
Direct
0.0000 0.0000 0.0000 La
0.0000 0.2781 0.6803 Sm
0.0000 0.7219 0.3197 Sm
0.2781 0.0000 0.6803 Sm
0.2781 0.2781 0.3197 Sm
0.3333 0.6667 0.0000 Sm
0.3333 0.6667 0.5000 Sm
0.6667 0.3333 0.0000 Sm
0.6667 0.3333 0.5000 Sm
0.7219 0.0000 0.3197 Sm
0.7219 0.7219 0.6803 Sm
0.0000 0.3733 0.1925 Ho
0.0000 0.6267 0.8075 Ho
0.3733 0.0000 0.1925 Ho
0.3733 0.3733 0.8075 Ho
0.6267 0.0000 0.8075 Ho
0.6267 0.6267 0.1925 Ho
```

This entry pairs a crystal structure of Pr2Al3Sn with its simulated powder X-ray diffraction pattern. Radiation: λ = 1.5418 Å (Cu Kα). Structure: the GGA-PBE geometry in Alexandria.

Peak list (10 most intense, 5° ≤ 2θ ≤ 70°, sorted by position)
2theta, d/Å, I (rel.)
22.9, 3.892, 27
30.9, 2.890, 100
40.1, 2.247, 37
41.9, 2.158, 12
48.2, 1.887, 8
51.5, 1.774, 24
59.4, 1.557, 16
59.4, 1.556, 8
67.2, 1.393, 14
69.7, 1.349, 10

Cell and atoms:
```
Pr2Al3Sn
1.0
4.3158 0.0000 0.0000
0.0000 4.4887 0.0000
0.0000 0.0000 7.7922
Pr Al Sn
2 3 1
Direct
0.0000 0.0000 0.0000 Pr
0.0000 0.5000 0.4917 Pr
0.5000 0.0000 0.3250 Al
0.5000 0.0000 0.6496 Al
0.5000 0.5000 0.1733 Al
0.5000 0.5000 0.8320 Sn
```

This entry pairs a crystal structure of RbSe3 with its simulated powder X-ray diffraction pattern. Radiation: λ = 1.5418 Å (Cu Kα). Structure: the GGA-PBE geometry in Alexandria.

Peak list (10 most intense, 5° ≤ 2θ ≤ 70°, sorted by position)
2theta, d/Å, I (rel.)
23.8, 3.732, 100
26.2, 3.401, 41
26.3, 3.383, 38
26.8, 3.330, 41
28.5, 3.134, 82
28.9, 3.091, 78
31.4, 2.852, 50
31.6, 2.834, 58
40.6, 2.222, 42
53.6, 1.710, 39

Cell and atoms:
```
RbSe3
1.0
5.8605 0.0000 0.0000
-2.8745 6.4703 0.0000
-1.6844 -1.0717 7.1232
Rb Se
2 6
Direct
0.1643 0.1929 0.2999 Rb
0.8357 0.8071 0.7001 Rb
0.2165 0.6909 0.4251 Se
0.3189 0.5591 0.9495 Se
0.4363 0.8367 0.1939 Se
0.5637 0.1633 0.8061 Se
0.6811 0.4409 0.0505 Se
0.7835 0.3091 0.5749 Se
```

This entry pairs a crystal structure of PmSmPbSe with its simulated powder X-ray diffraction pattern. Radiation: λ = 1.5418 Å (Cu Kα). Structure: the GGA-PBE geometry in Alexandria.

Peak list (10 most intense, 5° ≤ 2θ ≤ 70°, sorted by position)
2theta, d/Å, I (rel.)
14.3, 6.191, 7
20.3, 4.385, 7
28.8, 3.099, 100
32.3, 2.772, 4
35.5, 2.529, 4
41.2, 2.191, 77
51.0, 1.789, 28
59.6, 1.550, 9
59.7, 1.548, 4
67.6, 1.386, 36

Cell and atoms:
```
PmSmPbSe
1.0
4.3847 0.0000 0.0000
0.0000 4.3847 0.0000
0.0000 0.0000 6.1911
Pm Sm Pb Se
1 1 1 1
Direct
0.0000 0.0000 0.0000 Pm
0.5000 0.5000 0.5000 Sm
0.5000 0.5000 0.0000 Pb
0.0000 0.0000 0.5000 Se
```

This entry pairs a crystal structure of Ce3Y4S8 with its simulated powder X-ray diffraction pattern. Radiation: λ = 1.5418 Å (Cu Kα). Structure: the GGA-PBE geometry in Alexandria.

Peak list (10 most intense, 5° ≤ 2θ ≤ 70°, sorted by position)
2theta, d/Å, I (rel.)
15.8, 5.611, 13
27.5, 3.245, 23
27.6, 3.231, 23
31.9, 2.804, 100
45.6, 1.989, 12
45.8, 1.983, 47
45.9, 1.976, 12
54.2, 1.693, 11
56.7, 1.623, 12
57.0, 1.615, 12

Cell and atoms:
```
Ce3Y4S8
1.0
5.6047 -5.6093 0.0000
5.6047 5.6093 0.0000
-5.5678 0.0000 5.6113
Ce Y S
3 4 8
Direct
0.0000 0.0000 0.0000 Ce
0.0000 0.5000 0.0000 Ce
0.5000 0.0000 0.0000 Ce
0.0000 0.5000 0.5000 Y
0.5000 0.0000 0.5000 Y
0.5000 0.5000 0.0000 Y
0.5000 0.5000 0.5000 Y
0.2527 0.7473 0.5000 S
0.2535 0.7465 0.0000 S
0.2547 0.2547 0.5059 S
0.2570 0.2570 0.0067 S
0.7430 0.7430 0.9933 S
0.7453 0.7453 0.4941 S
0.7465 0.2535 0.0000 S
0.7473 0.2527 0.5000 S
```

This entry pairs a crystal structure of PrPu2O7 with its simulated powder X-ray diffraction pattern. Radiation: λ = 1.5418 Å (Cu Kα). Structure: the GGA-PBE geometry in Alexandria.

Peak list (10 most intense, 5° ≤ 2θ ≤ 70°, sorted by position)
2theta, d/Å, I (rel.)
17.1, 5.200, 29
25.7, 3.467, 53
26.8, 3.324, 41
27.3, 3.269, 100
30.3, 2.947, 49
33.5, 2.674, 66
35.4, 2.538, 21
47.1, 1.930, 57
49.1, 1.854, 40
54.4, 1.686, 66

Cell and atoms:
```
PrPu2O7
1.0
1.9302 1.1144 10.4004
-1.9302 1.1144 10.4004
0.0000 -2.2288 10.4004
Pr Pu O
1 2 7
Direct
0.0000 0.0000 0.0000 Pr
0.4341 0.4341 0.4341 Pu
0.5659 0.5659 0.5659 Pu
0.0807 0.0807 0.0807 O
0.2196 0.2196 0.2196 O
0.3650 0.3650 0.3650 O
0.5000 0.5000 0.5000 O
0.6350 0.6350 0.6350 O
0.7804 0.7804 0.7804 O
0.9193 0.9193 0.9193 O
```